Record 1
Diffraction record for CdI2. The XRD peak list is computed, not measured: it uses a crystal structure in the Materials Project, relaxed with PBE and Cu Kα (λ = 1.5418 Å).

The 8 most intense peaks (2θ = 5–70°), by angle:
d (Å)  two_theta  I/Imax
7.409  11.95  57
3.347  26.63  100
3.109  28.71  22
2.867  31.20  22
2.636  34.01  22
2.166  41.70  53
2.063  43.89  26
1.408  66.42  24

Structural model:
Lattice parameters (Å, degrees): 4.332 4.332 44.452 90.00 90.00 120.00
Positions (direct):
Cd 0.000 0.000 0.000
Cd 0.000 0.000 0.167
Cd 0.000 0.000 0.500
Cd 0.667 0.333 0.333
Cd 0.667 0.333 0.667
Cd 0.667 0.333 0.833
I 0.000 0.000 0.294
I 0.000 0.000 0.628
I 0.000 0.000 0.794
I 0.333 0.667 0.039
I 0.333 0.667 0.205
I 0.333 0.667 0.372
I 0.333 0.667 0.539
I 0.333 0.667 0.706
I 0.333 0.667 0.872
I 0.667 0.333 0.128
I 0.667 0.333 0.461
I 0.667 0.333 0.961

***

Record 2
Diffraction record for CdI2. The XRD peak list is computed, not measured: it uses a crystal structure in the Materials Project, relaxed with PBE and Cu Kα (λ = 1.5418 Å).

The 8 most intense peaks (2θ = 5–70°), by angle:
d (Å)  two_theta  I/Imax
7.425  11.92  56
3.347  26.64  100
3.061  29.17  27
2.916  30.66  28
2.638  33.98  24
2.165  41.73  53
2.066  43.83  26
1.409  66.34  23

Structural model:
Lattice parameters (Å, degrees): 4.329 4.329 37.126 90.00 90.00 120.00
Positions (direct):
Cd 0.000 0.000 0.000
Cd 0.000 0.000 0.200
Cd 0.000 0.000 0.600
Cd 0.667 0.333 0.400
Cd 0.667 0.333 0.800
I 0.000 0.000 0.353
I 0.000 0.000 0.754
I 0.333 0.667 0.047
I 0.333 0.667 0.247
I 0.333 0.667 0.447
I 0.333 0.667 0.647
I 0.333 0.667 0.847
I 0.667 0.333 0.153
I 0.667 0.333 0.553
I 0.667 0.333 0.953

***

Q: Which formula does entry 1 have?
A: CdI2

***

What did the first record say?
Diffraction record for CdI2. The XRD peak list is computed, not measured: it uses a crystal structure in the Materials Project, relaxed with PBE and Cu Kα (λ = 1.5418 Å).

The 8 most intense peaks (2θ = 5–70°), by angle:
d (Å)  two_theta  I/Imax
7.409  11.95  57
3.347  26.63  100
3.109  28.71  22
2.867  31.20  22
2.636  34.01  22
2.166  41.70  53
2.063  43.89  26
1.408  66.42  24

Structural model:
Lattice parameters (Å, degrees): 4.332 4.332 44.452 90.00 90.00 120.00
Positions (direct):
Cd 0.000 0.000 0.000
Cd 0.000 0.000 0.167
Cd 0.000 0.000 0.500
Cd 0.667 0.333 0.333
Cd 0.667 0.333 0.667
Cd 0.667 0.333 0.833
I 0.000 0.000 0.294
I 0.000 0.000 0.628
I 0.000 0.000 0.794
I 0.333 0.667 0.039
I 0.333 0.667 0.205
I 0.333 0.667 0.372
I 0.333 0.667 0.539
I 0.333 0.667 0.706
I 0.333 0.667 0.872
I 0.667 0.333 0.128
I 0.667 0.333 0.461
I 0.667 0.333 0.961